Simulated powder diffraction line list
Compound: CaGaFeO4
Radiation: Cu Kα (λ = 1.5418 Å)
Structure: a DFT-relaxed cell (PBE+U, Alexandria)
Kinematic intensities with the Lorentz-polarization factor, no thermal factor.

Cell and atoms:
```
CaGaFeO4
1.0
3.0881 -4.6998 0.0000
3.0881 4.6998 0.0000
0.0000 0.0000 6.4716
Ca Ga Fe O
2 2 2 8
Direct
0.0000 0.0000 0.0000
0.0000 0.0000 0.5000
0.3539 0.6461 0.7500
0.6461 0.3539 0.2500
0.3539 0.6461 0.2500
0.6461 0.3539 0.7500
0.2523 0.7477 0.5043
0.2523 0.7477 0.9957
0.2766 0.2809 0.7500
0.2809 0.2766 0.2500
0.7191 0.7234 0.7500
0.7234 0.7191 0.2500
0.7477 0.2523 0.0043
0.7477 0.2523 0.4957
```

Most intense lines, 2θ from 15° to 90°, by angle:
17.2 deg, intensity 28.7
27.6 deg, intensity 19.1
28.9 deg, intensity 66.1
32.0 deg, intensity 82.3
32.7 deg, intensity 100.0
47.8 deg, intensity 24.1
53.2 deg, intensity 23.0
53.7 deg, intensity 15.8
56.9 deg, intensity 65.7
66.8 deg, intensity 17.5